1.
# CsUHS3
Calculated XRD peak list, Cu Kα. Input: a structure optimized by DFT (GGA-PBE).

Atomic structure:
a = 9.1371 Å, b = 3.7483 Å, c = 9.8172 Å
α = 90.00°, β = 101.21°, γ = 90.00°
Space group P2_1/m (No. 11)
Inequivalent atoms, fractional coordinates:
1 Cs 0.1675 0.2500 0.2734
2 U 0.3355 0.7500 0.8610
3 H 0.2533 0.2500 0.6094
4 S 0.1487 0.2500 0.9030
5 S 0.2450 0.7500 0.5904
6 S 0.4518 0.7500 0.1400

Top 10 peaks for 2θ = 15–90°, in order of rising 2θ:
index  two_theta  I (rel.)
1 0 -2  19.2  47
2 0 0  19.8  30
2 0 -1  20.2  34
2 0 1  23.5  32
0 1 1  25.5  65
2 1 0  31.1  69
1 0 3  31.4  100
1 1 -3  36.7  54
3 1 -2  40.3  25
3 1 2  45.7  21

=====

2.
# MgZn2
Calculated XRD peak list, Cu Kα. Input: a structure optimized by DFT (GGA-PBE).

Atomic structure:
a = 11.1139 Å, b = 2.8790 Å, c = 6.5904 Å
α = 90.00°, β = 104.91°, γ = 90.00°
Space group C2/m (No. 12)
Inequivalent atoms, fractional coordinates:
1 Mg 0.0228 0.0000 0.2842
2 Zn 0.1540 0.5000 0.0332
3 Zn 0.1958 0.5000 0.6337

Top 10 peaks for 2θ = 15–90°, in order of rising 2θ:
index  two_theta  I (rel.)
2 0 0  16.5  61
1 1 1  36.1  29
2 0 2  36.3  33
4 0 -2  37.9  68
4 0 1  39.6  33
3 1 0  40.2  100
1 1 -2  41.7  86
0 0 3  42.6  31
3 1 3  65.2  24
1 1 -5  80.9  18